Pa2InCoO8: theoretical X-ray diffraction stick pattern (Cu Ka), based on DFT lattice parameters and positions (PBE+U).
Lines closer than 0.1° are merged.

Unit cell a=5.2629 b=5.2629 c=6.0016 alpha=90.00 beta=90.00 gamma=120.00
Fractional positions:
Pa (0.3333, 0.6667, 0.3652)
Pa (0.6667, 0.3333, 0.6348)
In (0.0000, 0.0000, 0.0000)
Co (0.0000, 0.0000, 0.5000)
O (0.1640, 0.3280, 0.6836)
O (0.1640, 0.8360, 0.6836)
O (0.3280, 0.1640, 0.3164)
O (0.3333, 0.6667, 0.0562)
O (0.6667, 0.3333, 0.9438)
O (0.6720, 0.8360, 0.6836)
O (0.8360, 0.1640, 0.3164)
O (0.8360, 0.6720, 0.3164)

Most intense lines, 2θ from 10° to 90°, in order of rising 2θ:
2theta, I/Imax
14.8, 32
24.5, 100
34.1, 81
35.8, 55
37.3, 13
42.4, 41
50.3, 32
55.5, 23
57.9, 16
61.0, 15
62.1, 24
71.7, 12


PaInCoO6: theoretical X-ray diffraction stick pattern (Cu Ka), based on DFT lattice parameters and positions (PBE+U).
Lines closer than 0.1° are merged.

Unit cell a=5.2169 b=5.2169 c=4.7354 alpha=90.00 beta=90.00 gamma=120.00
Fractional positions:
Pa (0.0000, 0.0000, 0.0000)
In (0.3333, 0.6667, 0.5000)
Co (0.6667, 0.3333, 0.5000)
O (0.3611, 0.0367, 0.7311)
O (0.3611, 0.3245, 0.2689)
O (0.6755, 0.0367, 0.2689)
O (0.6755, 0.6389, 0.7311)
O (0.9633, 0.3245, 0.7311)
O (0.9633, 0.6389, 0.2689)

Most intense lines, 2θ from 10° to 90°, in order of rising 2θ:
2theta, I/Imax
19.6, 19
27.3, 100
34.4, 34
43.1, 7
44.4, 27
52.2, 33
57.4, 26
61.6, 11
62.3, 10
79.0, 10
83.4, 9
84.9, 8


Sr2InCo2O6: theoretical X-ray diffraction stick pattern (Cu Ka), based on DFT lattice parameters and positions (PBE+U).
Lines closer than 0.1° are merged.

Unit cell a=6.5316 b=6.5316 c=6.5316 alpha=53.84 beta=53.84 gamma=53.84
Fractional positions:
Sr (0.2074, 0.2074, 0.2074)
Sr (0.7926, 0.7926, 0.7926)
In (0.0000, 0.0000, 0.0000)
Co (0.4159, 0.4159, 0.4159)
Co (0.5841, 0.5841, 0.5841)
O (0.2288, 0.7536, 0.7536)
O (0.2464, 0.2464, 0.7712)
O (0.2464, 0.7712, 0.2464)
O (0.7536, 0.2288, 0.7536)
O (0.7536, 0.7536, 0.2288)
O (0.7712, 0.2464, 0.2464)

Most intense lines, 2θ from 10° to 90°, in order of rising 2θ:
2theta, I/Imax
30.2, 100
32.0, 87
41.4, 15
44.6, 38
53.7, 19
54.8, 40
58.1, 14
58.7, 10
62.9, 19
72.3, 16
75.1, 12
87.2, 10


VIn2CoO6: theoretical X-ray diffraction stick pattern (Cu Ka), based on DFT lattice parameters and positions (PBE+U).
Lines closer than 0.1° are merged.

Unit cell a=5.5371 b=5.5371 c=5.5371 alpha=57.09 beta=57.09 gamma=57.09
Fractional positions:
V (0.0000, 0.0000, 0.0000)
In (0.2153, 0.2153, 0.2153)
In (0.7189, 0.7189, 0.7189)
Co (0.5052, 0.5052, 0.5052)
O (0.1460, 0.7719, 0.3758)
O (0.2856, 0.6320, 0.8652)
O (0.3758, 0.1460, 0.7719)
O (0.6320, 0.8652, 0.2856)
O (0.7719, 0.3758, 0.1460)
O (0.8652, 0.2856, 0.6320)

Most intense lines, 2θ from 10° to 90°, in order of rising 2θ:
2theta, I/Imax
23.3, 47
32.4, 100
33.9, 89
41.5, 15
47.6, 43
52.6, 36
56.8, 12
59.7, 37
60.6, 27
71.1, 11
71.3, 11
80.5, 13